Diffraction record for Na4BeBr6. The powder diffractogram is computed, not measured: it uses the GGA-PBE geometry in Alexandria and a wavelength of 1.5418 Å.
Lines closer than 0.1° are merged.

Principal peaks in the range 15° ≤ 2θ ≤ 90°, sorted by position:
2θ 25.9, d = 3.439 Å, I = 406, (3 1 -3); 2θ 26.1, d = 3.413 Å, I = 336, (4 0 -2); 2θ 26.6, d = 3.357 Å, I = 528, (1 1 3); 2θ 26.9, d = 3.313 Å, I = 895, (0 2 2); 2θ 27.1, d = 3.293 Å, I = 373, (2 2 0); 2θ 27.2, d = 3.277 Å, I = 329, (0 0 4); 2θ 27.9, d = 3.196 Å, I = 1000, (2 2 -2); 2θ 39.3, d = 2.290 Å, I = 300, (6 0 -2); 2θ 40.8, d = 2.210 Å, I = 284, (5 1 -5); 2θ 42.4, d = 2.130 Å, I = 338, (3 3 -3); 2θ 45.2, d = 2.006 Å, I = 267, (2 2 -6); 2θ 46.1, d = 1.967 Å, I = 236, (6 2 -2)

Structural model:
Lattice parameters (Å, degrees): 13.758 7.685 14.116 90.00 111.78 90.00
Space group Cc (No. 9)
Unique sites:
Na  0.000  0.102  0.000
Na  0.129  0.313  0.346
Na  0.293  0.327  0.693
Na  0.352  0.125  0.013
Be  0.062  0.229  0.752
Br  0.088  0.462  0.670
Br  0.137  0.284  0.918
Br  0.138  0.004  0.711
Br  0.318  0.237  0.509
Br  0.393  0.306  0.207
Br  0.450  0.281  0.890

---

Diffraction record for Ta2Ti2Pd. The powder diffractogram is computed, not measured: it uses the GGA-PBE geometry in Alexandria and a wavelength of 1.5418 Å.
Lines closer than 0.1° are merged.

Principal peaks in the range 15° ≤ 2θ ≤ 90°, sorted by position:
2θ 18.6, d = 4.760 Å, I = 186, (1 1 0); 2θ 27.5, d = 3.249 Å, I = 113, (3 1 0); 2θ 34.0, d = 2.640 Å, I = 118, (2 0 -2); 2θ 36.7, d = 2.451 Å, I = 379, (3 1 1); 2θ 37.9, d = 2.377 Å, I = 342, (4 0 -2); 2θ 39.4, d = 2.286 Å, I = 118, (0 2 1); 2θ 39.9, d = 2.261 Å, I = 1000, (2 2 -1); 2θ 43.0, d = 2.105 Å, I = 278, (1 1 2); 2θ 51.2, d = 1.786 Å, I = 132, (7 1 -1); 2θ 63.7, d = 1.460 Å, I = 101, (3 3 1); 2θ 65.1, d = 1.434 Å, I = 90, (4 2 -3); 2θ 69.7, d = 1.349 Å, I = 100, (6 2 -3)

Structural model:
Lattice parameters (Å, degrees): 13.336 5.142 5.292 90.00 109.38 90.00
Space group C2/c (No. 15)
Unique sites:
Ta  0.198  0.126  0.176
Ti  0.092  0.387  0.492
Pd  0.000  0.086  0.750

---

Diffraction record for TmZn2Ga3. The powder diffractogram is computed, not measured: it uses the GGA-PBE geometry in Alexandria and a wavelength of 1.5418 Å.
Lines closer than 0.1° are merged.

Principal peaks in the range 15° ≤ 2θ ≤ 90°, sorted by position:
2θ 23.7, d = 3.755 Å, I = 274, (1 1 1); 2θ 29.3, d = 3.046 Å, I = 153, (0 4 1); 2θ 32.8, d = 2.727 Å, I = 333, (2 2 0); 2θ 34.7, d = 2.586 Å, I = 161, (0 0 2); 2θ 35.7, d = 2.512 Å, I = 567, (0 6 0); 2θ 36.7, d = 2.446 Å, I = 477, (0 2 2); 2θ 37.3, d = 2.412 Å, I = 1000, (2 2 1); 2θ 42.4, d = 2.132 Å, I = 368, (0 4 2); 2θ 42.9, d = 2.110 Å, I = 544, (2 4 1); 2θ 61.2, d = 1.515 Å, I = 156, (2 8 1); 2θ 63.9, d = 1.457 Å, I = 202, (2 2 3); 2θ 67.8, d = 1.382 Å, I = 182, (2 4 3)

Structural model:
Lattice parameters (Å, degrees): 5.850 15.072 5.173 90.00 90.00 90.00
Space group Cmcm (No. 63)
Unique sites:
Tm  0.000  0.179  0.250
Zn  0.232  0.000  0.000
Ga  0.000  0.341  0.750
Ga  0.244  0.351  0.250

---

Diffraction record for Ac2Ga5Pd3. The powder diffractogram is computed, not measured: it uses the GGA-PBE geometry in Alexandria and a wavelength of 1.5418 Å.
Lines closer than 0.1° are merged.

Principal peaks in the range 15° ≤ 2θ ≤ 90°, sorted by position:
2θ 21.7, d = 4.088 Å, I = 136, (1 2 1); 2θ 27.5, d = 3.248 Å, I = 132, (0 4 0); 2θ 29.5, d = 3.024 Å, I = 110, (0 0 2); 2θ 32.3, d = 2.770 Å, I = 1000, (2 4 0); 2θ 34.1, d = 2.629 Å, I = 379, (2 0 2); 2θ 37.6, d = 2.394 Å, I = 95, (4 1 1); 2θ 40.8, d = 2.214 Å, I = 451, (0 4 2); 2θ 47.4, d = 1.918 Å, I = 146, (5 2 1); 2θ 51.7, d = 1.768 Å, I = 142, (3 6 1); 2θ 54.2, d = 1.692 Å, I = 150, (3 2 3); 2θ 61.3, d = 1.512 Å, I = 101, (0 0 4); 2θ 71.0, d = 1.328 Å, I = 78, (2 4 4)

Structural model:
Lattice parameters (Å, degrees): 10.643 12.994 6.049 90.00 90.00 90.00
Space group Ibam (No. 72)
Unique sites:
Ac  0.228  0.133  0.000
Ga  0.000  0.000  0.250
Ga  0.000  0.281  0.250
Ga  0.152  0.397  0.000
Pd  0.000  0.500  0.250
Pd  0.106  0.139  0.500

---

Diffraction record for LaPmPr6Nd2. The powder diffractogram is computed, not measured: it uses the GGA-PBE geometry in Alexandria and a wavelength of 1.5418 Å.
Lines closer than 0.1° are merged.

Principal peaks in the range 15° ≤ 2θ ≤ 90°, sorted by position:
2θ 27.6, d = 3.227 Å, I = 698, (1 3 2); 2θ 29.2, d = 3.057 Å, I = 655, (0 2 3); 2θ 29.6, d = 3.020 Å, I = 857, (3 1 -1); 2θ 30.3, d = 2.953 Å, I = 697, (1 5 0); 2θ 30.4, d = 2.936 Å, I = 580, (2 4 -1); 2θ 30.7, d = 2.914 Å, I = 1000, (2 2 2); 2θ 31.1, d = 2.872 Å, I = 363, (1 5 -1); 2θ 32.1, d = 2.787 Å, I = 774, (1 3 -3); 2θ 32.7, d = 2.741 Å, I = 235, (2 2 -3); 2θ 36.3, d = 2.476 Å, I = 242, (1 1 -4); 2θ 55.7, d = 1.651 Å, I = 254, (2 0 -6); 2θ 60.1, d = 1.539 Å, I = 230, (6 0 -2)

Structural model:
Lattice parameters (Å, degrees): 9.338 15.589 10.101 90.00 99.26 90.00
Space group C2/c (No. 15)
Unique sites:
La  0.000  0.096  0.250
Pm  0.000  0.479  0.750
Pr  0.068  0.317  0.445
Pr  0.100  0.103  0.621
Pr  0.203  0.275  0.816
Nd  0.238  0.451  0.043

---

Diffraction record for Tl7CdHg2. The powder diffractogram is computed, not measured: it uses the GGA-PBE geometry in Alexandria and a wavelength of 1.5418 Å.
Lines closer than 0.1° are merged.

Principal peaks in the range 15° ≤ 2θ ≤ 90°, sorted by position:
2θ 20.0, d = 4.436 Å, I = 290, (2 2 0); 2θ 25.7, d = 3.464 Å, I = 323, (2 4 0); 2θ 26.2, d = 3.404 Å, I = 258, (0 0 1); 2θ 28.1, d = 3.178 Å, I = 317, (1 1 1); 2θ 33.2, d = 2.696 Å, I = 1000, (2 6 0); 2θ 35.9, d = 2.501 Å, I = 428, (4 0 0); 2θ 36.4, d = 2.469 Å, I = 643, (1 5 1); 2θ 38.1, d = 2.364 Å, I = 509, (3 1 1); 2θ 42.8, d = 2.114 Å, I = 327, (2 6 1); 2θ 58.7, d = 1.574 Å, I = 356, (5 5 1); 2θ 64.8, d = 1.439 Å, I = 295, (2 6 2); 2θ 66.4, d = 1.408 Å, I = 314, (4 0 2)

Structural model:
Lattice parameters (Å, degrees): 10.003 19.208 3.404 90.00 90.00 90.00
Space group Cmmm (No. 65)
Unique sites:
Tl  0.000  0.000  0.000
Tl  0.000  0.309  0.500
Tl  0.221  0.407  0.000
Cd  0.000  0.500  0.500
Hg  0.000  0.169  0.000

---

Diffraction record for La2AlCd16. The powder diffractogram is computed, not measured: it uses the GGA-PBE geometry in Alexandria and a wavelength of 1.5418 Å.
Lines closer than 0.1° are merged.

Principal peaks in the range 15° ≤ 2θ ≤ 90°, sorted by position:
2θ 17.4, d = 5.082 Å, I = 99, (1 1 0); 2θ 30.5, d = 2.934 Å, I = 261, (3 0 0); 2θ 31.5, d = 2.843 Å, I = 127, (0 2 4); 2θ 35.3, d = 2.541 Å, I = 348, (2 2 0); 2θ 35.5, d = 2.526 Å, I = 1000, (0 3 3); 2θ 36.2, d = 2.482 Å, I = 356, (0 0 6); 2θ 36.4, d = 2.467 Å, I = 174, (2 0 5); 2θ 39.8, d = 2.262 Å, I = 424, (2 2 3); 2θ 51.5, d = 1.776 Å, I = 107, (2 2 6); 2θ 57.5, d = 1.603 Å, I = 105, (3 3 3); 2θ 63.4, d = 1.467 Å, I = 138, (6 0 0); 2θ 64.7, d = 1.441 Å, I = 193, (0 3 9)

Structural model:
Lattice parameters (Å, degrees): 10.1649 10.1649 14.8961 90.00 90.00 120.00
Space group R3m (No. 160, hexagonal axes)
Unique sites:
La  0.0000  0.0000  0.0000
La  0.0000  0.0000  0.3429
Al  0.0000  0.0000  0.7690
Cd  0.0000  0.0000  0.5770
Cd  0.0321  0.3649  0.3376
Cd  0.1735  0.3470  0.1532
Cd  0.1802  0.3605  0.5072
Cd  0.1876  0.3752  0.8512

---

Diffraction record for SrNbSe2. The powder diffractogram is computed, not measured: it uses the GGA-PBE geometry in Alexandria and a wavelength of 1.5418 Å.
Lines closer than 0.1° are merged.

Principal peaks in the range 15° ≤ 2θ ≤ 90°, sorted by position:
2θ 15.8, d = 5.616 Å, I = 74, (1 0 1); 2θ 24.2, d = 3.672 Å, I = 1000, (1 1 2); 2θ 33.2, d = 2.701 Å, I = 67, (2 1 1); 2θ 39.4, d = 2.286 Å, I = 491, (2 0 4); 2θ 41.4, d = 2.179 Å, I = 179, (2 2 0); 2θ 45.0, d = 2.016 Å, I = 183, (1 1 6); 2θ 48.6, d = 1.874 Å, I = 246, (3 1 2); 2θ 53.8, d = 1.705 Å, I = 57, (0 0 8); 2θ 62.8, d = 1.480 Å, I = 105, (3 1 6); 2θ 70.1, d = 1.343 Å, I = 74, (2 2 8); 2θ 74.2, d = 1.278 Å, I = 78, (4 2 4); 2θ 80.8, d = 1.190 Å, I = 59, (5 1 2)

Structural model:
Lattice parameters (Å, degrees): 6.162 6.162 13.641 90.00 90.00 90.00
Space group I-42d (No. 122)
Unique sites:
Sr  0.000  0.000  0.000
Nb  0.000  0.000  0.500
Se  0.184  0.250  0.625